Theoretical powder XRD pattern of LaAl2CdAg5 for CuKα, from the GGA-PBE geometry in Alexandria.
Intensities are scaled so that the largest is 100.

Structural model:
a b c (Å): 5.001 5.001 7.762
angles (deg): 90.00 90.00 90.00
Element x y z (fractional)
La: 0.000 0.000 0.000
Al: 0.500 0.500 0.336
Al: 0.500 0.500 0.664
Cd: 0.000 0.000 0.500
Ag: 0.000 0.500 0.249
Ag: 0.000 0.500 0.751
Ag: 0.500 0.000 0.249
Ag: 0.500 0.000 0.751
Ag: 0.500 0.500 0.000

Main lines, in order of rising 2θ (10 to 90 degrees two-theta):
- 2θ = 34.31°, rel. 100.0
- 2θ = 35.91°, rel. 53.4
- 2θ = 46.84°, rel. 13.6
- 2θ = 51.70°, rel. 18.1
- 2θ = 60.38°, rel. 18.9
- 2θ = 63.52°, rel. 32.7

---

Theoretical powder XRD pattern of TlSi5 for CuKα, from the GGA-PBE geometry in Alexandria.
Intensities are scaled so that the largest is 100.

Structural model:
a b c (Å): 4.075 8.664 8.664
angles (deg): 21.99 90.00 90.00
Element x y z (fractional)
Tl: 0.000 0.000 0.000
Si: 0.000 0.301 0.301
Si: 0.000 0.677 0.677
Si: 0.500 0.154 0.154
Si: 0.500 0.385 0.385
Si: 0.500 0.773 0.773

Main lines, in order of rising 2θ (10 to 90 degrees two-theta):
- 2θ = 10.40°, rel. 87.0
- 2θ = 24.22°, rel. 77.4
- 2θ = 30.38°, rel. 60.2
- 2θ = 31.33°, rel. 58.7
- 2θ = 35.37°, rel. 50.9
- 2θ = 38.50°, rel. 100.0

---

Theoretical powder XRD pattern of BaSrBiSbO6 for CuKα, from the GGA-PBE geometry in Alexandria.
Intensities are scaled so that the largest is 100.

Structural model:
a b c (Å): 6.052 6.077 8.564
angles (deg): 89.68 89.48 89.86
Element x y z (fractional)
Ba: 0.005 0.023 0.250
Ba: 0.995 0.977 0.750
Sr: 0.491 0.532 0.248
Sr: 0.509 0.468 0.752
Bi: 0.000 0.500 0.000
Bi: 0.500 0.000 0.500
Sb: 0.000 0.500 0.500
Sb: 0.500 0.000 0.000
O: 0.088 0.498 0.730
O: 0.205 0.758 0.462
O: 0.235 0.800 0.027
O: 0.260 0.298 0.449
O: 0.311 0.271 0.048
O: 0.438 0.042 0.769
O: 0.562 0.958 0.231
O: 0.689 0.729 0.952
O: 0.740 0.702 0.551
O: 0.765 0.200 0.973
O: 0.795 0.242 0.538
O: 0.912 0.502 0.270

Main lines, in order of rising 2θ (10 to 90 degrees two-theta):
- 2θ = 29.35°, rel. 65.5
- 2θ = 29.51°, rel. 100.0
- 2θ = 29.62°, rel. 32.3
- 2θ = 42.21°, rel. 34.5
- 2θ = 52.13°, rel. 29.7
- 2θ = 52.55°, rel. 22.1